# 1
The following is a simulated powder diffraction line list of Ac3Pd4Rh2. It was derived from a structure optimized by DFT (GGA-PBE), using λ = 1.5418 Å (Cu Kα).
Peak positions follow from Bragg's law for the DFT cell and can differ from measured ones.

Main lines, low angle first (10 to 80 degrees two-theta):
index	2theta	intensity
1 0 0	22.8	13
1 0 6	31.7	100
1 1 0	40.0	47
0 0 12	44.2	12
2 0 6	51.8	25
1 1 12	61.1	27
2 1 6	67.4	23
1 0 18	73.5	9

Crystal structure
```
data_Ac3Pd4Rh2
_symmetry_space_group_name_H-M 'P -6 m 2'
_symmetry_Int_Tables_number 187
_symmetry_space_group_name_Hall 'P -6 2'
_cell_length_a 4.5124
_cell_length_b 4.5124
_cell_length_c 24.5633
_cell_angle_alpha 90.00
_cell_angle_beta 90.00
_cell_angle_gamma 120.00
loop_
_atom_site_label
_atom_site_fract_x
_atom_site_fract_y
_atom_site_fract_z
_atom_site_occupancy
Ac1 0.0000 0.0000 0.0801 1
Ac2 0.0000 0.0000 0.2495 1
Ac3 0.0000 0.0000 0.4159 1
Pd1 0.3333 0.6667 0.1670 1
Pd2 0.3333 0.6667 0.3333 1
Pd3 0.3333 0.6667 0.5000 1
Pd4 0.6667 0.3333 0.1671 1
Pd5 0.6667 0.3333 0.5000 1
Rh1 0.3333 0.6667 0.0000 1
Rh2 0.6667 0.3333 0.0000 1
Rh3 0.6667 0.3333 0.3334 1
```

# 2
The following is a simulated powder diffraction line list of Ac8Pd5Rh. It was derived from a structure optimized by DFT (GGA-PBE), using λ = 1.5418 Å (Cu Kα).
Peak positions follow from Bragg's law for the DFT cell and can differ from measured ones.

Main lines, low angle first (10 to 80 degrees two-theta):
index	2theta	intensity
2 0 2	26.4	30
1 0 3	29.5	52
3 1 0	29.8	100
1 2 3	35.2	28
1 3 2	35.3	46
3 2 3	44.6	21
4 1 3	48.8	19
4 3 1	48.9	23

Crystal structure
```
data_Ac8Pd5Rh
_symmetry_space_group_name_H-M 'I -4'
_symmetry_Int_Tables_number 82
_symmetry_space_group_name_Hall 'I -4'
_cell_length_a 9.4912
_cell_length_b 9.4912
_cell_length_c 9.5785
_cell_angle_alpha 90.00
_cell_angle_beta 90.00
_cell_angle_gamma 90.00
loop_
_atom_site_label
_atom_site_fract_x
_atom_site_fract_y
_atom_site_fract_z
_atom_site_occupancy
Ac1 0.0550 0.1915 0.3164 1
Ac2 0.0556 0.2993 0.9330 1
Pd1 0.0000 0.5000 0.2500 1
Pd2 0.1218 0.2500 0.6235 1
Rh1 0.0000 0.0000 0.0000 1
```

# 3
The following is a simulated powder diffraction line list of Ac5PdRh2. It was derived from a structure optimized by DFT (GGA-PBE), using λ = 1.5418 Å (Cu Kα).
Peak positions follow from Bragg's law for the DFT cell and can differ from measured ones.

Main lines, low angle first (10 to 80 degrees two-theta):
index	2theta	intensity
1 1 0	16.1	49
1 1 3	24.3	55
0 2 4	27.4	75
0 4 2	28.8	41
2 0 0	29.8	100
0 4 3	31.9	50
2 2 4	41.0	40
2 4 3	44.2	41

Crystal structure
```
data_Ac5PdRh2
_symmetry_space_group_name_H-M 'C m c m'
_symmetry_Int_Tables_number 63
_symmetry_space_group_name_Hall '-C 2c 2'
_cell_length_a 5.9951
_cell_length_b 13.6369
_cell_length_c 14.7856
_cell_angle_alpha 90.00
_cell_angle_beta 90.00
_cell_angle_gamma 90.00
loop_
_atom_site_label
_atom_site_fract_x
_atom_site_fract_y
_atom_site_fract_z
_atom_site_occupancy
Ac1 0.0000 0.0530 0.1184 1
Ac2 0.0000 0.2413 0.7500 1
Ac3 0.0000 0.3378 0.0599 1
Pd1 0.0000 0.2275 0.2500 1
Rh1 0.0000 0.1494 0.5572 1
```

# 4
The following is a simulated powder diffraction line list of Ac6PdRuRh2. It was derived from a structure optimized by DFT (GGA-PBE), using λ = 1.5418 Å (Cu Kα).
Peak positions follow from Bragg's law for the DFT cell and can differ from measured ones.

Main lines, low angle first (10 to 80 degrees two-theta):
index	2theta	intensity
0 0 2	25.9	11
2 1 0	27.2	100
-1 1 2	35.5	45
3 3 2	41.9	37
2 1 -2	46.5	24
3 3 4	49.9	12
-2 2 1	50.6	15
3 3 6	69.9	16

Crystal structure
```
data_Ac6PdRuRh2
_symmetry_space_group_name_H-M 'P 1'
_symmetry_Int_Tables_number 1
_symmetry_space_group_name_Hall 'P 1'
_cell_length_a 7.4664
_cell_length_b 7.4801
_cell_length_c 8.1193
_cell_angle_alpha 62.60
_cell_angle_beta 62.65
_cell_angle_gamma 60.06
loop_
_atom_site_label
_atom_site_fract_x
_atom_site_fract_y
_atom_site_fract_z
_atom_site_occupancy
Ac1 0.0000 0.0000 0.0000 1
Ac2 0.1465 0.8259 0.5122 1
Ac3 0.3175 0.3384 0.9999 1
Ac4 0.4856 0.1701 0.5130 1
Ac5 0.6608 0.6559 0.0006 1
Ac6 0.8297 0.4861 0.5129 1
Pd1 0.5759 0.9155 0.2493 1
Ru1 0.0757 0.4154 0.7487 1
Rh1 0.2382 0.5778 0.2613 1
Rh2 0.7358 0.0745 0.7698 1
```

Number 4 is which compound? Ac6PdRuRh2